Theoretical powder X-ray diffraction pattern
Compound: Rb2LaAgCl6
Radiation: Cu Kα
Structure: a DFT-relaxed cell (PBE, the Materials Project)
Kinematic intensities with the Lorentz-polarization factor, no thermal factor.

Crystal structure
```
data_Rb2LaAgCl6
_chemical_formula_sum 'Rb8 La4 Ag4 Cl24'
_cell_length_a 11.0292
_cell_length_b 11.0292
_cell_length_c 11.0292
_cell_angle_alpha 90.00
_cell_angle_beta 90.00
_cell_angle_gamma 90.00
_symmetry_space_group_name_H-M 'F m -3 m'
_symmetry_Int_Tables_number 225
_symmetry_space_group_name_Hall '-F 4 2 3'
loop_
_atom_site_label
_atom_site_type_symbol
_atom_site_fract_x
_atom_site_fract_y
_atom_site_fract_z
Rb1 Rb 0.2500 0.2500 0.2500
La1 La 0.0000 0.0000 0.0000
Ag1 Ag 0.0000 0.0000 0.5000
Cl1 Cl 0.0000 0.0000 0.2508
```

Most intense lines, 2θ = 10–90°, in order of rising 2θ:
two_theta  d (Å)  I (rel.)  (hkl)
16.07  5.515  22  2 0 0
22.81  3.899  100  2 2 0
32.47  2.757  69  4 0 0
40.05  2.251  47  4 2 2
46.58  1.950  47  4 4 0
52.47  1.744  21  6 2 0
57.93  1.592  16  4 4 4
63.08  1.474  25  6 4 2
77.39  1.233  20  8 4 0
86.45  1.126  15  8 4 4

Theoretical powder X-ray diffraction pattern
Compound: Na2S
Radiation: Cu Kα
Structure: a DFT-relaxed cell (PBE, the Materials Project)
Kinematic intensities with the Lorentz-polarization factor, no thermal factor.

Crystal structure
```
data_Na2S
_chemical_formula_sum 'Na4 S2'
_cell_length_a 4.6635
_cell_length_b 4.6635
_cell_length_c 6.6360
_cell_angle_alpha 90.00
_cell_angle_beta 90.00
_cell_angle_gamma 120.00
_symmetry_space_group_name_H-M 'P 63/m m c'
_symmetry_Int_Tables_number 194
_symmetry_space_group_name_Hall '-P 6c 2c'
loop_
_atom_site_label
_atom_site_type_symbol
_atom_site_fract_x
_atom_site_fract_y
_atom_site_fract_z
Na1 Na 0.0000 0.0000 0.0000
Na2 Na 0.3333 0.6667 0.2500
S1 S 0.3333 0.6667 0.7500
```

Most intense lines, 2θ = 10–90°, in order of rising 2θ:
two_theta  d (Å)  I (rel.)  (hkl)
26.87  3.318  14  0 0 2
35.00  2.564  100  1 0 2
38.61  2.332  88  1 1 0
47.67  1.908  14  1 1 2
53.09  1.725  27  2 0 2
55.38  1.659  9  0 0 4
67.55  1.387  24  2 1 2
69.54  1.352  26  1 1 4
69.87  1.346  13  3 0 0
82.79  1.166  8  2 2 0

Theoretical powder X-ray diffraction pattern
Compound: CaSiO3
Radiation: Cu Kα
Structure: a DFT-relaxed cell (PBE, the Materials Project)
Kinematic intensities with the Lorentz-polarization factor, no thermal factor.

Crystal structure
```
data_CaSiO3
_chemical_formula_sum 'Ca12 Si12 O36'
_cell_length_a 11.9522
_cell_length_b 6.9359
_cell_length_c 10.6177
_cell_angle_alpha 90.00
_cell_angle_beta 111.28
_cell_angle_gamma 90.00
_symmetry_space_group_name_H-M 'C 1 2/c 1'
_symmetry_Int_Tables_number 15
loop_
_symmetry_equiv_pos_as_xyz
'x,y,z'
'-x,-y,-z'
'-x,y,-z+1/2'
'x,-y,z+1/2'
'x+1/2,y+1/2,z'
'-x+1/2,-y+1/2,-z'
'-x+1/2,y+1/2,-z+1/2'
'x+1/2,-y+1/2,z+1/2'
loop_
_atom_site_label
_atom_site_type_symbol
_atom_site_fract_x
_atom_site_fract_y
_atom_site_fract_z
Ca1 Ca 0.0878 0.2385 0.4990
Ca2 Ca 0.2500 0.2500 0.0000
Si1 Si 0.0000 0.1604 0.7500
Si2 Si 0.1278 0.4529 0.2447
O1 O 0.0000 0.3579 0.2500
O2 O 0.0499 0.0567 0.8947
O3 O 0.1115 0.3064 0.7475
O4 O 0.1283 0.4039 0.0966
O5 O 0.2287 0.3994 0.3880
```

Most intense lines, 2θ = 10–90°, in order of rising 2θ:
two_theta  d (Å)  I (rel.)  (hkl)
25.67  3.471  29  0 2 0
27.25  3.273  100  0 2 1
27.44  3.250  54  3 1 -2
31.46  2.844  88  0 2 2
31.76  2.817  45  3 1 -3
36.32  2.473  31  0 0 4
44.82  2.022  26  3 1 3
45.02  2.014  27  0 2 4
45.35  2.000  88  3 3 -1
45.54  1.992  32  6 0 -2

Theoretical powder X-ray diffraction pattern
Compound: H4PbI3N
Radiation: Cu Kα
Structure: a DFT-relaxed cell (PBE, the Materials Project)
Kinematic intensities with the Lorentz-polarization factor, no thermal factor.

Crystal structure
```
data_H4PbI3N
_chemical_formula_sum 'H16 Pb4 I12 N4'
_cell_length_a 10.5539
_cell_length_b 4.8298
_cell_length_c 17.4217
_cell_angle_alpha 90.00
_cell_angle_beta 90.00
_cell_angle_gamma 90.00
_symmetry_space_group_name_H-M 'P n m a'
_symmetry_Int_Tables_number 62
loop_
_symmetry_equiv_pos_as_xyz
'x,y,z'
'-x,-y,-z'
'-x+1/2,-y,z+1/2'
'x+1/2,y,-z+1/2'
'x+1/2,-y+1/2,-z+1/2'
'-x+1/2,y+1/2,z+1/2'
'-x,y+1/2,-z'
'x,-y+1/2,z'
loop_
_atom_site_label
_atom_site_type_symbol
_atom_site_fract_x
_atom_site_fract_y
_atom_site_fract_z
H1 H 0.0223 0.2500 0.1304
H2 H 0.0354 0.2500 0.2273
H3 H 0.1433 0.0778 0.1736
Pb1 Pb 0.1686 0.7500 0.4413
I1 I 0.0228 0.7500 0.6162
I2 I 0.1579 0.7500 0.0121
I3 I 0.1922 0.2500 0.7853
N1 N 0.0852 0.2500 0.1760
```

Most intense lines, 2θ = 10–90°, in order of rising 2θ:
two_theta  d (Å)  I (rel.)  (hkl)
10.15  8.711  41  0 0 2
13.18  6.718  29  1 0 2
22.75  3.909  31  2 0 3
25.50  3.493  52  2 1 1
27.02  3.300  100  2 1 2
31.66  2.826  32  0 1 5
37.23  2.415  27  0 2 0
37.78  2.381  23  3 1 4
40.30  2.238  26  4 1 2
41.71  2.165  27  1 1 7